[1]
Diffraction record for NaCdInO3. The PXRD pattern is theoretical, not measured: it uses a crystal structure in Alexandria, relaxed with PBE and copper Kα.
Neutral-atom scattering factors, no anomalous dispersion.

Structure:
```
NaCdInO3
1.0
5.8421 0.0000 0.0000
0.0000 3.3122 0.0000
-0.1919 0.0000 8.1079
Na Cd In O
2 2 2 6
Direct
0.0777 0.2500 0.1612
0.9223 0.7500 0.8388
0.2420 0.7500 0.4915
0.7580 0.2500 0.5085
0.4136 0.2500 0.8331
0.5864 0.7500 0.1669
0.1088 0.2500 0.6657
0.2854 0.7500 0.9898
0.4313 0.2500 0.3214
0.5687 0.7500 0.6786
0.7146 0.2500 0.0102
0.8912 0.7500 0.3343
```

The 12 most intense peaks (5 to 70 degrees two-theta), in order of rising 2θ:
2θ = 10.91°, I 189; 2θ = 15.17°, I 328; 2θ = 18.51°, I 264; 2θ = 32.34°, I 368; 2θ = 33.13°, I 1000; 2θ = 38.11°, I 989; 2θ = 38.41°, I 475; 2θ = 54.69°, I 308; 2θ = 55.75°, I 300; 2θ = 65.72°, I 204; 2θ = 66.16°, I 183; 2θ = 69.52°, I 213

[2]
Diffraction record for NaCdIn4Pd2. The PXRD pattern is theoretical, not measured: it uses a crystal structure in Alexandria, relaxed with PBE and copper Kα.
Neutral-atom scattering factors, no anomalous dispersion.

Structure:
```
NaCdIn4Pd2
1.0
4.1947 0.0000 0.0000
0.0000 4.1947 0.0000
0.0000 0.0000 11.6415
Na Cd In Pd
1 1 4 2
Direct
0.0000 0.0000 0.0000
0.0000 0.0000 0.5000
0.0000 0.5000 0.2314
0.0000 0.5000 0.7686
0.5000 0.0000 0.2314
0.5000 0.0000 0.7686
0.5000 0.5000 0.3867
0.5000 0.5000 0.6133
```

The 12 most intense peaks (5 to 70 degrees two-theta), in order of rising 2θ:
2θ = 7.59°, I 803; 2θ = 15.22°, I 360; 2θ = 30.72°, I 102; 2θ = 31.12°, I 307; 2θ = 31.40°, I 134; 2θ = 33.92°, I 1000; 2θ = 37.62°, I 230; 2θ = 43.13°, I 438; 2θ = 43.57°, I 297; 2θ = 44.51°, I 98; 2θ = 58.54°, I 122; 2θ = 62.64°, I 139

[3]
Diffraction record for Na2Tl5Cd2In. The PXRD pattern is theoretical, not measured: it uses a crystal structure in Alexandria, relaxed with PBE and copper Kα.
Neutral-atom scattering factors, no anomalous dispersion.

Structure:
```
Na2Tl5Cd2In
1.0
11.1129 0.0000 0.0000
0.0000 11.1129 0.0000
0.0000 0.0000 4.7871
Na Tl Cd In
4 10 4 2
Direct
0.1677 0.3323 0.0000
0.3323 0.8323 0.0000
0.6677 0.1677 0.0000
0.8323 0.6677 0.0000
0.0000 0.5000 0.5000
0.0885 0.8105 0.5000
0.1895 0.0885 0.5000
0.3105 0.5885 0.5000
0.4115 0.3105 0.5000
0.5000 0.0000 0.5000
0.5885 0.6895 0.5000
0.6895 0.4115 0.5000
0.8105 0.9115 0.5000
0.9115 0.1895 0.5000
0.1298 0.6298 0.0000
0.3702 0.1298 0.0000
0.6298 0.8702 0.0000
0.8702 0.3702 0.0000
0.0000 0.0000 0.0000
0.5000 0.5000 0.0000
```

The 12 most intense peaks (5 to 70 degrees two-theta), in order of rising 2θ:
2θ = 17.85°, I 328; 2θ = 18.53°, I 260; 2θ = 31.58°, I 1000; 2θ = 33.24°, I 193; 2θ = 34.61°, I 415; 2θ = 36.15°, I 158; 2θ = 37.58°, I 248; 2θ = 38.32°, I 230; 2θ = 51.03°, I 117; 2θ = 62.17°, I 151; 2θ = 64.06°, I 226; 2θ = 65.94°, I 159

[4]
Diffraction record for Na4TlCd2In2. The PXRD pattern is theoretical, not measured: it uses a crystal structure in Alexandria, relaxed with PBE and copper Kα.
Neutral-atom scattering factors, no anomalous dispersion.

Structure:
```
Na4TlCd2In2
1.0
5.2763 0.0000 0.0000
0.0433 6.0789 0.0000
2.5917 2.2678 7.5010
Na Tl Cd In
4 1 2 2
Direct
0.1164 0.0767 0.2660
0.3418 0.2075 0.8154
0.6582 0.7925 0.1846
0.8836 0.9233 0.7340
0.0000 0.5000 0.5000
0.4546 0.7450 0.5940
0.5454 0.2550 0.4060
0.2468 0.6367 0.0073
0.7532 0.3633 0.9927
```

The 12 most intense peaks (5 to 70 degrees two-theta), in order of rising 2θ:
2θ = 11.80°, I 212; 2θ = 15.23°, I 572; 2θ = 22.29°, I 344; 2θ = 22.43°, I 328; 2θ = 23.72°, I 434; 2θ = 31.90°, I 541; 2θ = 33.94°, I 1000; 2θ = 34.03°, I 972; 2θ = 34.29°, I 513; 2θ = 40.21°, I 213; 2θ = 47.04°, I 162; 2θ = 60.70°, I 234

[5]
Diffraction record for Na2TlCdIn. The PXRD pattern is theoretical, not measured: it uses a crystal structure in Alexandria, relaxed with PBE and copper Kα.
Neutral-atom scattering factors, no anomalous dispersion.

Structure:
```
Na2TlCdIn
1.0
6.3597 0.0000 0.0000
0.0000 5.2391 0.0000
-1.7701 0.0000 7.9404
Na Tl Cd In
4 2 2 2
Direct
0.1578 0.2500 0.0375
0.3367 0.2500 0.4496
0.6633 0.7500 0.5504
0.8422 0.7500 0.9625
0.4440 0.7500 0.1551
0.5560 0.2500 0.8449
0.0535 0.7500 0.3510
0.9465 0.2500 0.6490
0.2325 0.7500 0.7391
0.7675 0.2500 0.2609
```

The 12 most intense peaks (5 to 70 degrees two-theta), in order of rising 2θ:
2θ = 16.10°, I 338; 2θ = 20.31°, I 239; 2θ = 22.20°, I 400; 2θ = 22.39°, I 198; 2θ = 33.34°, I 1000; 2θ = 33.80°, I 488; 2θ = 33.96°, I 949; 2θ = 34.23°, I 472; 2θ = 47.78°, I 174; 2θ = 48.87°, I 352; 2θ = 59.78°, I 177; 2θ = 60.96°, I 188

[6]
Diffraction record for Na2Tl4CdIn2. The PXRD pattern is theoretical, not measured: it uses a crystal structure in Alexandria, relaxed with PBE and copper Kα.
Neutral-atom scattering factors, no anomalous dispersion.

Structure:
```
Na2Tl4CdIn2
1.0
3.5978 0.0000 0.0000
-1.7989 3.1158 0.0000
0.0000 0.0000 22.9954
Na Tl Cd In
2 4 1 2
Direct
0.0000 0.0000 0.0000
0.3333 0.6667 0.3330
0.0000 0.0000 0.2225
0.0000 0.0000 0.4447
0.3333 0.6667 0.1095
0.3333 0.6667 0.8868
0.3333 0.6667 0.6747
0.0000 0.0000 0.5744
0.0000 0.0000 0.7757
```

The 12 most intense peaks (5 to 70 degrees two-theta), in order of rising 2θ:
2θ = 11.54°, I 380; 2θ = 28.65°, I 554; 2θ = 28.92°, I 523; 2θ = 32.69°, I 820; 2θ = 34.78°, I 1000; 2θ = 35.12°, I 372; 2θ = 42.80°, I 174; 2θ = 45.93°, I 272; 2θ = 50.75°, I 444; 2θ = 63.00°, I 179; 2θ = 63.22°, I 405; 2θ = 64.09°, I 196

[7]
Diffraction record for NaTl2Cd2In. The PXRD pattern is theoretical, not measured: it uses a crystal structure in Alexandria, relaxed with PBE and copper Kα.
Neutral-atom scattering factors, no anomalous dispersion.

Structure:
```
NaTl2Cd2In
1.0
5.4670 0.0000 0.0000
0.0000 8.9105 0.0000
0.0000 0.0000 6.7512
Na Tl Cd In
2 4 4 2
Direct
0.0000 0.0003 0.0000
0.0000 0.9997 0.5000
0.0000 0.3312 0.2510
0.0000 0.6688 0.7510
0.5000 0.4994 0.0000
0.5000 0.5006 0.5000
0.0000 0.3242 0.7508
0.0000 0.6758 0.2508
0.5000 0.1663 0.2494
0.5000 0.8337 0.7494
0.5000 0.1678 0.7480
0.5000 0.8322 0.2480
```

The 12 most intense peaks (5 to 70 degrees two-theta), in order of rising 2θ:
2θ = 9.93°, I 422; 2θ = 25.80°, I 124; 2θ = 26.40°, I 118; 2θ = 32.76°, I 1000; 2θ = 33.30°, I 327; 2θ = 34.36°, I 721; 2θ = 43.85°, I 160; 2θ = 47.41°, I 243; 2θ = 58.48°, I 120; 2θ = 59.51°, I 136; 2θ = 61.19°, I 147; 2θ = 65.90°, I 215

[8]
Diffraction record for Nd3CdIn2. The PXRD pattern is theoretical, not measured: it uses a crystal structure in Alexandria, relaxed with PBE and copper Kα.
Neutral-atom scattering factors, no anomalous dispersion.

Structure:
```
Nd3CdIn2
1.0
3.7540 0.0000 0.0000
0.0000 3.7540 0.0000
0.0000 0.0000 12.3188
Nd Cd In
3 1 2
Direct
0.0000 0.0000 0.0000
0.0000 0.0000 0.3351
0.0000 0.0000 0.6649
0.5000 0.5000 0.5000
0.5000 0.5000 0.1702
0.5000 0.5000 0.8298
```

The 10 most intense peaks (5 to 70 degrees two-theta), in order of rising 2θ:
2θ = 21.64°, I 8; 2θ = 23.70°, I 12; 2θ = 32.31°, I 1000; 2θ = 33.77°, I 445; 2θ = 40.46°, I 7; 2θ = 44.11°, I 104; 2θ = 48.50°, I 159; 2θ = 56.68°, I 196; 2θ = 59.48°, I 340; 2θ = 67.63°, I 114

[9]
Diffraction record for Nd5Cd2In. The PXRD pattern is theoretical, not measured: it uses a crystal structure in Alexandria, relaxed with PBE and copper Kα.
Neutral-atom scattering factors, no anomalous dispersion.

Structure:
```
Nd5Cd2In
1.0
-4.0166 4.0166 7.7954
4.0166 -4.0166 7.7954
4.0166 4.0166 -7.7954
Nd Cd In
10 4 2
Direct
0.0000 0.0000 0.0000
0.0075 0.5075 0.8257
0.1818 0.0075 0.5000
0.3182 0.8182 0.8257
0.4925 0.3182 0.5000
0.5000 0.5000 0.0000
0.5075 0.6818 0.5000
0.6818 0.1818 0.1743
0.8182 0.9925 0.5000
0.9925 0.4925 0.1743
0.1276 0.3724 0.5000
0.3724 0.8724 0.2448
0.6276 0.1276 0.7552
0.8724 0.6276 0.5000
0.2500 0.2500 0.0000
0.7500 0.7500 0.0000
```

The 12 most intense peaks (5 to 70 degrees two-theta), in order of rising 2θ:
2θ = 27.76°, I 122; 2θ = 30.24°, I 1000; 2θ = 31.50°, I 93; 2θ = 32.00°, I 242; 2θ = 34.52°, I 153; 2θ = 35.33°, I 433; 2θ = 49.99°, I 114; 2θ = 50.23°, I 121; 2θ = 53.83°, I 85; 2θ = 59.22°, I 115; 2θ = 60.50°, I 75; 2θ = 65.05°, I 126

[10]
Diffraction record for Nd8CdIn5. The PXRD pattern is theoretical, not measured: it uses a crystal structure in Alexandria, relaxed with PBE and copper Kα.
Neutral-atom scattering factors, no anomalous dispersion.

Structure:
```
Nd8CdIn5
1.0
-4.7956 4.7956 4.8097
4.7956 -4.7956 4.8097
4.7956 4.7956 -4.8097
Nd Cd In
8 1 5
Direct
0.1257 0.2237 0.7528
0.1311 0.7312 0.7548
0.2688 0.0236 0.3999
0.4709 0.3728 0.2472
0.6237 0.8689 0.6001
0.6272 0.8743 0.0981
0.7763 0.5291 0.9019
0.9764 0.3763 0.2452
0.7500 0.2500 0.5000
0.0000 0.0000 0.0000
0.2518 0.6275 0.1237
0.3725 0.4963 0.6243
0.5037 0.1281 0.8763
0.8719 0.7482 0.3757
```

The 12 most intense peaks (5 to 70 degrees two-theta), in order of rising 2θ:
2θ = 29.42°, I 1000; 2θ = 34.97°, I 735; 2θ = 42.07°, I 69; 2θ = 44.25°, I 81; 2θ = 46.33°, I 196; 2θ = 48.32°, I 135; 2θ = 48.39°, I 76; 2θ = 59.25°, I 87; 2θ = 59.38°, I 176; 2θ = 61.10°, I 84; 2θ = 62.69°, I 104; 2θ = 67.61°, I 59

[11]
Diffraction record for Nd5Cd2In2. The PXRD pattern is theoretical, not measured: it uses a crystal structure in Alexandria, relaxed with PBE and copper Kα.
Neutral-atom scattering factors, no anomalous dispersion.

Structure:
```
Nd5Cd2In2
1.0
-8.9414 4.7797 3.2524
8.9414 -4.7797 3.2524
8.9414 4.7797 -3.2524
Nd Cd In
10 4 4
Direct
0.0832 0.3727 0.0148
0.0832 0.5684 0.2105
0.2153 0.0820 0.2973
0.2153 0.4180 0.6334
0.3579 0.0684 0.9852
0.3579 0.8727 0.7895
0.7102 0.9655 0.2448
0.7207 0.4655 0.7552
0.7847 0.5820 0.3666
0.7847 0.9180 0.7027
0.0820 0.9922 0.5898
0.3246 0.3246 0.0000
0.3246 0.8246 0.5000
0.4024 0.4922 0.4102
0.6534 0.1556 0.3550
0.6534 0.7984 0.9979
0.8006 0.2984 0.6450
0.8006 0.6556 0.0021
```

The 12 most intense peaks (5 to 70 degrees two-theta), in order of rising 2θ:
2θ = 26.61°, I 442; 2θ = 27.31°, I 322; 2θ = 27.42°, I 412; 2θ = 29.44°, I 333; 2θ = 31.26°, I 581; 2θ = 31.84°, I 468; 2θ = 32.74°, I 1000; 2θ = 32.86°, I 628; 2θ = 33.32°, I 433; 2θ = 34.21°, I 980; 2θ = 34.40°, I 866; 2θ = 45.43°, I 325

[12]
Diffraction record for Nd4Cd3In2. The PXRD pattern is theoretical, not measured: it uses a crystal structure in Alexandria, relaxed with PBE and copper Kα.
Neutral-atom scattering factors, no anomalous dispersion.

Structure:
```
Nd4Cd3In2
1.0
4.6203 -2.6688 0.0000
4.6203 2.6688 0.0000
-0.0139 0.0000 10.3546
Nd Cd In
4 3 2
Direct
0.9999 0.9999 0.1702
0.0001 0.0001 0.8298
0.3333 0.3333 0.3853
0.6667 0.6667 0.6147
0.0000 0.0000 0.5000
0.3333 0.3333 0.0254
0.6667 0.6667 0.9746
0.3334 0.3334 0.7126
0.6666 0.6666 0.2874
```

The 12 most intense peaks (5 to 70 degrees two-theta), in order of rising 2θ:
2θ = 25.84°, I 41; 2θ = 32.37°, I 1000; 2θ = 33.59°, I 942; 2θ = 42.85°, I 18; 2θ = 47.34°, I 342; 2θ = 53.09°, I 14; 2θ = 56.23°, I 22; 2θ = 56.96°, I 158; 2θ = 59.29°, I 344; 2θ = 60.06°, I 172; 2θ = 64.29°, I 35; 2θ = 67.77°, I 92